(1)
This entry pairs a crystal structure of Sm2Tl2Rh3 with its computed XRD peak list. Radiation: copper Kα. Structure: DFT lattice parameters and positions (GGA-PBE).
Lines closer than 0.1° are merged.

Cell: 7.4527 7.4527 7.4527 Å, 109.47 109.47 109.47°
Sites, in units of the cell vectors:
Sm (0.0000, 0.4634, 0.5000)
Sm (0.0366, 0.0366, 0.0366)
Sm (0.4634, 0.5000, 0.0000)
Sm (0.5000, 0.0000, 0.4634)
Tl (0.0000, 0.8808, 0.5000)
Tl (0.5000, 0.0000, 0.8808)
Tl (0.6192, 0.6192, 0.6192)
Tl (0.8808, 0.5000, 0.0000)
Rh (0.0039, 0.2539, 0.7500)
Rh (0.2461, 0.2500, 0.4961)
Rh (0.2500, 0.4961, 0.2461)
Rh (0.2539, 0.7500, 0.0039)
Rh (0.4961, 0.2461, 0.2500)
Rh (0.7500, 0.0039, 0.2539)

Top 12 peaks for 10 to 90 degrees two-theta, in order of rising 2θ:
2θ 25.4, I = 207
2θ 29.4, I = 925
2θ 32.9, I = 986
2θ 36.2, I = 479
2θ 39.2, I = 1000
2θ 42.0, I = 433
2θ 49.7, I = 333
2θ 54.4, I = 487
2θ 60.9, I = 236
2θ 71.0, I = 211
2θ 72.9, I = 415
2θ 82.3, I = 189

---

(2)
This entry pairs a crystal structure of Sm12TlRh6 with its computed XRD peak list. Radiation: copper Kα. Structure: DFT lattice parameters and positions (GGA-PBE).
Lines closer than 0.1° are merged.

Cell: 8.7399 8.7399 8.7399 Å, 109.47 109.47 109.47°
Sites, in units of the cell vectors:
Sm (0.1160, 0.3032, 0.8128)
Sm (0.1872, 0.4904, 0.3032)
Sm (0.1872, 0.8840, 0.6968)
Sm (0.3032, 0.1872, 0.4904)
Sm (0.3032, 0.8128, 0.1160)
Sm (0.4904, 0.3032, 0.1872)
Sm (0.5096, 0.6968, 0.8128)
Sm (0.6968, 0.1872, 0.8840)
Sm (0.6968, 0.8128, 0.5096)
Sm (0.8128, 0.1160, 0.3032)
Sm (0.8128, 0.5096, 0.6968)
Sm (0.8840, 0.6968, 0.1872)
Tl (0.0000, 0.0000, 0.0000)
Rh (0.1304, 0.5000, 0.6304)
Rh (0.3696, 0.8696, 0.5000)
Rh (0.5000, 0.3696, 0.8696)
Rh (0.5000, 0.6304, 0.1304)
Rh (0.6304, 0.1304, 0.5000)
Rh (0.8696, 0.5000, 0.3696)

Top 12 peaks for 10 to 90 degrees two-theta, in order of rising 2θ:
2θ 28.0, I = 175
2θ 30.7, I = 290
2θ 33.2, I = 1000
2θ 35.6, I = 146
2θ 37.8, I = 109
2θ 45.8, I = 248
2θ 52.9, I = 210
2θ 54.6, I = 137
2θ 56.2, I = 298
2θ 65.4, I = 168
2θ 80.8, I = 139
2θ 82.2, I = 153

---

(3)
This entry pairs a crystal structure of Sm8Tl2Rh with its computed XRD peak list. Radiation: copper Kα. Structure: DFT lattice parameters and positions (GGA-PBE).
Lines closer than 0.1° are merged.

Cell: 9.3032 9.3032 9.3032 Å, 144.70 135.26 58.23°
Sites, in units of the cell vectors:
Sm (0.1382, 0.3751, 0.7631)
Sm (0.1941, 0.1941, 0.0000)
Sm (0.2443, 0.0000, 0.2443)
Sm (0.3880, 0.6249, 0.7631)
Sm (0.6120, 0.3751, 0.2369)
Sm (0.7557, 0.0000, 0.7557)
Sm (0.8059, 0.8059, 0.0000)
Sm (0.8618, 0.6249, 0.2369)
Tl (0.3144, 0.8144, 0.5000)
Tl (0.6856, 0.1856, 0.5000)
Rh (0.0000, 0.5000, 0.5000)

Top 12 peaks for 10 to 90 degrees two-theta, in order of rising 2θ:
2θ 27.5, I = 202
2θ 31.7, I = 879
2θ 33.1, I = 95
2θ 34.2, I = 1000
2θ 42.5, I = 127
2θ 51.6, I = 102
2θ 51.9, I = 156
2θ 56.6, I = 116
2θ 58.1, I = 219
2θ 61.9, I = 252
2θ 62.1, I = 182
2θ 83.8, I = 82

---

(4)
This entry pairs a crystal structure of SmY3Rh with its computed XRD peak list. Radiation: copper Kα. Structure: DFT lattice parameters and positions (GGA-PBE).
Lines closer than 0.1° are merged.

Cell: 7.6306 6.5444 6.2066 Å, 90.00 90.00 90.00°
Sites, in units of the cell vectors:
Sm (0.0000, 0.1492, 0.0000)
Sm (0.5000, 0.8508, 0.5000)
Y (0.0000, 0.8461, 0.4857)
Y (0.2488, 0.3159, 0.4943)
Y (0.2512, 0.6841, 0.9943)
Y (0.5000, 0.1539, 0.9857)
Y (0.7488, 0.6841, 0.9943)
Y (0.7512, 0.3159, 0.4943)
Rh (0.0000, 0.5028, 0.7445)
Rh (0.5000, 0.4972, 0.2445)

Top 12 peaks for 10 to 90 degrees two-theta, in order of rising 2θ:
2θ 18.4, I = 167
2θ 22.9, I = 225
2θ 28.8, I = 226
2θ 30.7, I = 1000
2θ 30.9, I = 492
2θ 39.9, I = 378
2θ 40.0, I = 171
2θ 47.7, I = 202
2θ 48.0, I = 278
2θ 52.2, I = 218
2θ 57.9, I = 160
2θ 79.9, I = 120

---

What did the second record say?
This entry pairs a crystal structure of Sm12TlRh6 with its computed XRD peak list. Radiation: copper Kα. Structure: DFT lattice parameters and positions (GGA-PBE).
Lines closer than 0.1° are merged.

Cell: 8.7399 8.7399 8.7399 Å, 109.47 109.47 109.47°
Sites, in units of the cell vectors:
Sm (0.1160, 0.3032, 0.8128)
Sm (0.1872, 0.4904, 0.3032)
Sm (0.1872, 0.8840, 0.6968)
Sm (0.3032, 0.1872, 0.4904)
Sm (0.3032, 0.8128, 0.1160)
Sm (0.4904, 0.3032, 0.1872)
Sm (0.5096, 0.6968, 0.8128)
Sm (0.6968, 0.1872, 0.8840)
Sm (0.6968, 0.8128, 0.5096)
Sm (0.8128, 0.1160, 0.3032)
Sm (0.8128, 0.5096, 0.6968)
Sm (0.8840, 0.6968, 0.1872)
Tl (0.0000, 0.0000, 0.0000)
Rh (0.1304, 0.5000, 0.6304)
Rh (0.3696, 0.8696, 0.5000)
Rh (0.5000, 0.3696, 0.8696)
Rh (0.5000, 0.6304, 0.1304)
Rh (0.6304, 0.1304, 0.5000)
Rh (0.8696, 0.5000, 0.3696)

Top 12 peaks for 10 to 90 degrees two-theta, in order of rising 2θ:
2θ 28.0, I = 175
2θ 30.7, I = 290
2θ 33.2, I = 1000
2θ 35.6, I = 146
2θ 37.8, I = 109
2θ 45.8, I = 248
2θ 52.9, I = 210
2θ 54.6, I = 137
2θ 56.2, I = 298
2θ 65.4, I = 168
2θ 80.8, I = 139
2θ 82.2, I = 153